No. 1
Diffraction record for Cs4TiTe4. The X-ray powder pattern is simulated, not measured: it uses a GGA-PBE-relaxed structure and Cu Kα (weighted mean of Kα1 and Kα2).

Structural model:
```
data_Cs4TiTe4
_chemical_formula_sum 'Cs8 Ti2 Te8'
_cell_length_a 11.1245
_cell_length_b 11.1245
_cell_length_c 7.6363
_cell_angle_alpha 90.00
_cell_angle_beta 90.00
_cell_angle_gamma 90.00
_symmetry_space_group_name_H-M 'I 4/m'
_symmetry_Int_Tables_number 87
_symmetry_space_group_name_Hall '-I 4'
loop_
_atom_site_label
_atom_site_fract_x
_atom_site_fract_y
_atom_site_fract_z
Cs1 0.0747 0.7079 0.0000
Ti1 0.0000 0.0000 0.5000
Te1 0.0774 0.7674 0.5000
```

Main lines, in order of rising 2θ (2θ = 10–90°):
- 2θ 22.61, I 32.5
- 2θ 23.30, I 71.6
- 2θ 25.32, I 100.0
- 2θ 32.69, I 25.3
- 2θ 34.67, I 87.4
- 2θ 54.73, I 32.2

No. 2
Diffraction record for AcNi4H6Au. The X-ray powder pattern is simulated, not measured: it uses a GGA-PBE-relaxed structure and Cu Kα (weighted mean of Kα1 and Kα2).

Structural model:
```
data_AcNi4H6Au
_chemical_formula_sum 'Ac1 Ni4 H6 Au1'
_cell_length_a 4.4732
_cell_length_b 4.4732
_cell_length_c 6.8647
_cell_angle_alpha 90.00
_cell_angle_beta 90.00
_cell_angle_gamma 120.00
_symmetry_space_group_name_H-M 'P 6/m m m'
_symmetry_Int_Tables_number 191
_symmetry_space_group_name_Hall '-P 6 2'
loop_
_atom_site_label
_atom_site_fract_x
_atom_site_fract_y
_atom_site_fract_z
Ac1 0.0000 0.0000 0.0000
Ni1 0.3333 0.6667 0.3229
H1 0.0000 0.5000 0.1850
Au1 0.0000 0.0000 0.5000
```

Main lines, in order of rising 2θ (2θ = 10–90°):
- 2θ 22.96, I 44.8
- 2θ 34.92, I 100.0
- 2θ 40.33, I 61.7
- 2θ 54.39, I 27.8
- 2θ 58.85, I 18.5
- 2θ 69.84, I 26.8

No. 3
Diffraction record for AlCd3Mo. The X-ray powder pattern is simulated, not measured: it uses a GGA-PBE-relaxed structure and Cu Kα (weighted mean of Kα1 and Kα2).

Structural model:
```
data_AlCd3Mo
_chemical_formula_sum 'Al1 Cd3 Mo1'
_cell_length_a 5.3894
_cell_length_b 5.3894
_cell_length_c 5.3894
_cell_angle_alpha 90.00
_cell_angle_beta 90.00
_cell_angle_gamma 90.00
_symmetry_space_group_name_H-M 'P m -3 m'
_symmetry_Int_Tables_number 221
_symmetry_space_group_name_Hall '-P 4 2 3'
loop_
_atom_site_label
_atom_site_fract_x
_atom_site_fract_y
_atom_site_fract_z
Al1 0.0000 0.0000 0.0000
Cd1 0.0000 0.5000 0.5000
Mo1 0.5000 0.5000 0.5000
```

Main lines, in order of rising 2θ (2θ = 10–90°):
- 2θ 16.45, I 87.4
- 2θ 28.69, I 66.9
- 2θ 33.25, I 100.0
- 2θ 37.31, I 45.5
- 2θ 47.73, I 70.2
- 2θ 79.54, I 30.0

No. 4
Diffraction record for NaBi3Se4. The X-ray powder pattern is simulated, not measured: it uses a GGA-PBE-relaxed structure and Cu Kα (weighted mean of Kα1 and Kα2).

Structural model:
```
data_NaBi3Se4
_chemical_formula_sum 'Na2 Bi6 Se8'
_cell_length_a 6.0348
_cell_length_b 12.0747
_cell_length_c 6.2352
_cell_angle_alpha 90.00
_cell_angle_beta 90.00
_cell_angle_gamma 90.00
_symmetry_space_group_name_H-M 'P m m n'
_symmetry_Int_Tables_number 59
loop_
_symmetry_equiv_pos_as_xyz
'x,y,z'
'-x,-y,-z'
'-x+1/2,-y+1/2,z'
'x+1/2,y+1/2,-z'
'x+1/2,-y,-z'
'-x+1/2,y,z'
'-x,y+1/2,-z'
'x,-y+1/2,z'
loop_
_atom_site_label
_atom_site_fract_x
_atom_site_fract_y
_atom_site_fract_z
Na1 0.2500 0.2500 0.2384
Bi1 0.2500 0.5019 0.7393
Bi2 0.2500 0.7500 0.2386
Se1 0.2500 0.2500 0.7345
Se2 0.2500 0.5062 0.2091
Se3 0.2500 0.7500 0.7714
```

Main lines, in order of rising 2θ (2θ = 10–90°):
- 2θ 25.29, I 33.4
- 2θ 28.63, I 51.1
- 2θ 29.60, I 100.0
- 2θ 41.65, I 75.0
- 2θ 42.35, I 38.1
- 2θ 51.92, I 39.5

No. 5
Diffraction record for Y2HfO5. The X-ray powder pattern is simulated, not measured: it uses a GGA-PBE-relaxed structure and Cu Kα (weighted mean of Kα1 and Kα2).

Structural model:
```
data_Y2HfO5
_chemical_formula_sum 'Y8 Hf4 O20'
_cell_length_a 11.8511
_cell_length_b 5.5172
_cell_length_c 7.6876
_cell_angle_alpha 90.00
_cell_angle_beta 113.34
_cell_angle_gamma 90.00
_symmetry_space_group_name_H-M 'C 1 2/c 1'
_symmetry_Int_Tables_number 15
loop_
_symmetry_equiv_pos_as_xyz
'x,y,z'
'-x,-y,-z'
'-x,y,-z+1/2'
'x,-y,z+1/2'
'x+1/2,y+1/2,z'
'-x+1/2,-y+1/2,-z'
'-x+1/2,y+1/2,-z+1/2'
'x+1/2,-y+1/2,z+1/2'
loop_
_atom_site_label
_atom_site_fract_x
_atom_site_fract_y
_atom_site_fract_z
Y1 0.1396 0.0056 0.2512
Hf1 0.0000 0.5000 0.0000
O1 0.0000 0.3240 0.2500
O2 0.0746 0.1749 0.9569
O3 0.1736 0.3479 0.6454
```

Main lines, in order of rising 2θ (2θ = 10–90°):
- 2θ 16.29, I 52.1
- 2θ 24.01, I 41.5
- 2θ 28.36, I 92.6
- 2θ 29.47, I 100.0
- 2θ 33.80, I 41.8
- 2θ 46.70, I 38.8

No. 6
Diffraction record for V8InC2. The X-ray powder pattern is simulated, not measured: it uses a GGA-PBE-relaxed structure and Cu Kα (weighted mean of Kα1 and Kα2).

Structural model:
```
data_V8InC2
_chemical_formula_sum 'V16 In2 C4'
_cell_length_a 4.3956
_cell_length_b 4.8986
_cell_length_c 12.9375
_cell_angle_alpha 90.00
_cell_angle_beta 90.00
_cell_angle_gamma 90.00
_symmetry_space_group_name_H-M 'I m m m'
_symmetry_Int_Tables_number 71
_symmetry_space_group_name_Hall '-I 2 2'
loop_
_atom_site_label
_atom_site_fract_x
_atom_site_fract_y
_atom_site_fract_z
V1 0.0000 0.0000 0.1145
V2 0.0000 0.2472 0.4013
V3 0.0000 0.5000 0.2292
In1 0.0000 0.5000 0.0000
C1 0.0000 0.0000 0.2683
```

Main lines, in order of rising 2θ (2θ = 10–90°):
- 2θ 39.17, I 79.6
- 2θ 39.38, I 37.8
- 2θ 40.45, I 34.2
- 2θ 41.07, I 61.2
- 2θ 42.84, I 100.0
- 2θ 46.51, I 23.1